Entry 1:
Rb2CaAgCl5: simulated powder diffraction line list (CuKα), based on a GGA-PBE-relaxed structure.
Peak positions follow from Bragg's law for the DFT cell and can differ from measured ones.

Largest 10 diffraction maxima, by angle, 5 to 70 degrees two-theta:
hkl 0 2 3, d = 4.119 Å, 21.57 deg, I 609
hkl 1 1 2, d = 3.557 Å, 25.03 deg, I 1000
hkl 1 3 1, d = 3.433 Å, 25.95 deg, I 277
hkl 0 6 1, d = 3.105 Å, 28.75 deg, I 823
hkl 1 1 3, d = 3.078 Å, 29.01 deg, I 969
hkl 1 5 0, d = 2.850 Å, 31.39 deg, I 366
hkl 0 2 5, d = 2.632 Å, 34.07 deg, I 490
hkl 1 5 3, d = 2.417 Å, 37.20 deg, I 348
hkl 2 0 0, d = 2.135 Å, 42.32 deg, I 400
hkl 2 6 1, d = 1.759 Å, 51.97 deg, I 281

Structural model:
Unit cell a=4.271 b=19.127 c=13.692 alpha=90.00 beta=90.00 gamma=90.00
Space group Cmc2_1 (No. 36)
Inequivalent atoms, fractional coordinates:
Rb: 0.000 0.106 0.000 (multiplicity 4)
Rb: 0.000 0.129 0.633 (multiplicity 4)
Ca: 0.000 0.209 0.339 (multiplicity 4)
Ag: 0.000 0.451 0.769 (multiplicity 4)
Cl: 0.000 0.066 0.373 (multiplicity 4)
Cl: 0.000 0.283 0.972 (multiplicity 4)
Cl: 0.000 0.304 0.707 (multiplicity 4)
Cl: 0.000 0.350 0.322 (multiplicity 4)
Cl: 0.000 0.499 0.102 (multiplicity 4)

=====

Entry 2:
Ca2AgSnCl8: simulated powder diffraction line list (CuKα), based on a GGA-PBE-relaxed structure.
Peak positions follow from Bragg's law for the DFT cell and can differ from measured ones.

Largest 10 diffraction maxima, by angle, 5 to 70 degrees two-theta:
hkl 0 0 1, d = 6.448 Å, 13.73 deg, I 396
hkl 1 0 -1, d = 4.520 Å, 19.64 deg, I 1000
hkl 1 0 1, d = 4.451 Å, 19.95 deg, I 928
hkl 1 2 0, d = 3.490 Å, 25.52 deg, I 611
hkl 1 2 -1, d = 3.080 Å, 28.99 deg, I 996
hkl 1 0 2, d = 2.847 Å, 31.42 deg, I 377
hkl 1 2 -2, d = 2.379 Å, 37.82 deg, I 380
hkl 2 2 -1, d = 2.347 Å, 38.36 deg, I 574
hkl 2 2 1, d = 2.327 Å, 38.69 deg, I 547
hkl 0 2 3, d = 1.914 Å, 47.50 deg, I 530

Structural model:
Unit cell a=6.244 b=8.418 c=6.449 alpha=90.00 beta=90.88 gamma=90.00
Space group P2/m (No. 10)
Inequivalent atoms, fractional coordinates:
Ca: 0.000 0.242 0.000 (multiplicity 2)
Ag: 0.500 0.000 0.500 (multiplicity 1)
Sn: 0.500 0.500 0.500 (multiplicity 1)
Cl: 0.221 0.000 0.177 (multiplicity 2)
Cl: 0.225 0.500 0.173 (multiplicity 2)
Cl: 0.280 0.265 0.669 (multiplicity 4)

=====

Entry 3:
CaZnAg2Cl6: simulated powder diffraction line list (CuKα), based on a GGA-PBE-relaxed structure.
Peak positions follow from Bragg's law for the DFT cell and can differ from measured ones.

Largest 10 diffraction maxima, by angle, 5 to 70 degrees two-theta:
hkl 0 1 2, d = 4.927 Å, 18.00 deg, I 523
hkl 1 0 4, d = 3.584 Å, 24.84 deg, I 1000
hkl 1 1 0, d = 3.392 Å, 26.28 deg, I 632
hkl 2 -1 3, d = 2.956 Å, 30.23 deg, I 518
hkl 2 0 2, d = 2.794 Å, 32.04 deg, I 193
hkl 0 2 4, d = 2.464 Å, 36.47 deg, I 548
hkl 2 -1 6, d = 2.254 Å, 40.00 deg, I 800
hkl 3 -1 4, d = 1.993 Å, 45.51 deg, I 471
hkl 3 0 0, d = 1.958 Å, 46.37 deg, I 604
hkl 1 0 10, d = 1.730 Å, 52.94 deg, I 289

Structural model:
Unit cell a=6.7835 b=6.7835 c=18.0968 alpha=90.00 beta=90.00 gamma=120.00
Space group R3 (No. 146, hexagonal axes)
Inequivalent atoms, fractional coordinates:
Ca: 0.0000 0.0000 0.0000 (multiplicity 3)
Zn: 0.0000 0.0000 0.4987 (multiplicity 3)
Ag: 0.0000 0.0000 0.2891 (multiplicity 3)
Ag: 0.0000 0.0000 0.7948 (multiplicity 3)
Cl: 0.0103 0.3741 0.2390 (multiplicity 9)
Cl: 0.0483 0.6836 0.0796 (multiplicity 9)